# AcTl2GaO4
Simulated XRD peak list, Cu Ka. Input: a cell relaxed with GGA-PBE.
No peak broadening, texture or thermal motion is included.

Largest 10 diffraction maxima, by intensity, 15 to 90 degrees two-theta:
2θ = 25.7°, intensity 100
2θ = 31.2°, intensity 79
2θ = 26.0°, intensity 55
2θ = 34.4°, intensity 35
2θ = 43.6°, intensity 27
2θ = 49.6°, intensity 24
2θ = 56.5°, intensity 24
2θ = 38.0°, intensity 24
2θ = 52.2°, intensity 19
2θ = 31.0°, intensity 18

Structural model:
Unit cell a=7.3824 b=9.2725 c=5.2088 alpha=90.00 beta=90.00 gamma=90.00
Space group Pmn2_1 (No. 31)
Asymmetric unit:
Ac: 0.0000 0.0876 0.0000 x2
Tl: 0.2493 0.3320 0.4929 x4
Ga: 0.0000 0.8499 0.4708 x2
O: 0.0000 0.0554 0.5196 x2
O: 0.0000 0.8320 0.1060 x2
O: 0.2236 0.7799 0.5737 x4